No. 1
Starting from a crystal structure in OQMD, relaxed with PBE, the PXRD pattern of Hg3Te2SeO10 was simulated for Cu Kα X-rays.
Kinematic intensities with the Lorentz-polarization factor, no thermal factor.

Crystal structure
Cell lengths 8.3774, 5.4449, 11.2067 Å; angles 90.00, 109.51, 90.00 degrees
Sites, in units of the cell vectors:
1 Hg 0.0111 0.0000 0.3723
2 Hg 0.0140 0.9663 0.8858
3 Hg 0.3067 0.9974 0.7012
4 Hg 0.6933 0.4974 0.2988
5 Hg 0.9860 0.4663 0.1142
6 Hg 0.9889 0.5000 0.6277
7 Te 0.2816 0.5067 0.4460
8 Te 0.3082 0.4701 0.9510
9 Te 0.6918 0.9701 0.0490
10 Te 0.7184 0.0067 0.5540
11 Se 0.3538 0.9889 0.2177
12 Se 0.6462 0.4889 0.7823
13 O 0.0831 0.6148 0.3141
14 O 0.1217 0.3279 0.9873
15 O 0.1517 0.3032 0.5207
16 O 0.1666 0.6628 0.8096
17 O 0.2268 0.1646 0.2715
18 O 0.2440 0.8023 0.1007
19 O 0.2678 0.8056 0.5313
20 O 0.3404 0.1732 0.8730
21 O 0.4729 0.8161 0.3396
22 O 0.4774 0.1750 0.1669
23 O 0.5226 0.6750 0.8331
24 O 0.5271 0.3161 0.6604
25 O 0.6596 0.6732 0.1270
26 O 0.7322 0.3056 0.4687
27 O 0.7560 0.3023 0.8993
28 O 0.7732 0.6646 0.7285
29 O 0.8334 0.1628 0.1904
30 O 0.8483 0.8032 0.4793
31 O 0.8783 0.8279 0.0127
32 O 0.9169 0.1148 0.6859

The 10 most intense peaks (15 to 90 degrees two-theta), most intense first:
two_theta  Rel. int.
28.46  100.0
54.81  17.1
31.94  15.7
46.51  15.5
56.05  14.6
32.90  14.5
48.07  11.9
47.39  11.6
34.06  11.4
58.89  10.1

---

No. 2
Starting from a crystal structure in OQMD, relaxed with PBE, the PXRD pattern of TmHgSeO was simulated for Cu Kα X-rays.
Kinematic intensities with the Lorentz-polarization factor, no thermal factor.

Crystal structure
Cell lengths 5.6221, 5.6146, 12.9973 Å; angles 90.00, 91.82, 90.00 degrees
Sites, in units of the cell vectors:
1 Tm 0.0032 0.0000 0.0777
2 Tm 0.4951 0.0016 0.9210
3 Tm 0.5049 0.5016 0.0790
4 Tm 0.9968 0.5000 0.9223
5 Hg 0.1318 0.2742 0.4963
6 Hg 0.4976 0.0196 0.2624
7 Hg 0.5024 0.5196 0.7376
8 Hg 0.8682 0.7742 0.5037
9 Se 0.1860 0.3330 0.2387
10 Se 0.1940 0.2060 0.7547
11 Se 0.8060 0.7060 0.2453
12 Se 0.8140 0.8330 0.7613
13 O 0.2499 0.7497 0.0000
14 O 0.2545 0.2481 0.9998
15 O 0.7455 0.7481 0.0002
16 O 0.7501 0.2497 0.0000

The 10 most intense peaks (15 to 90 degrees two-theta), most intense first:
two_theta  Rel. int.
30.89  100.0
30.19  93.2
22.38  51.2
26.03  50.9
32.63  46.9
35.75  45.0
45.69  42.5
27.46  39.1
26.57  38.7
35.30  35.2

---

No. 3
Starting from a crystal structure in OQMD, relaxed with PBE, the PXRD pattern of TmHgSeO was simulated for Cu Kα X-rays.
Kinematic intensities with the Lorentz-polarization factor, no thermal factor.

Crystal structure
Cell lengths 7.4832, 7.0311, 6.7141 Å; angles 90.00, 90.26, 90.00 degrees
Sites, in units of the cell vectors:
1 Tm 0.0438 0.1408 0.1928
2 Tm 0.0438 0.3592 0.6928
3 Tm 0.9562 0.6408 0.3072
4 Tm 0.9562 0.8592 0.8072
5 Hg 0.4934 0.1916 0.0075
6 Hg 0.4934 0.3084 0.5075
7 Hg 0.5066 0.6916 0.4925
8 Hg 0.5066 0.8084 0.9925
9 Se 0.2593 0.0229 0.5503
10 Se 0.2593 0.4771 0.0503
11 Se 0.7407 0.5229 0.9497
12 Se 0.7407 0.9771 0.4497
13 O 0.0540 0.6534 0.6044
14 O 0.0540 0.8466 0.1044
15 O 0.9460 0.1534 0.8956
16 O 0.9460 0.3466 0.3956

The 10 most intense peaks (15 to 90 degrees two-theta), most intense first:
two_theta  Rel. int.
29.21  100.0
30.13  84.8
23.78  77.4
40.77  61.5
35.02  50.4
31.10  36.9
58.34  34.9
29.11  34.5
38.99  33.5
28.66  26.4

---

No. 4
Starting from a crystal structure in OQMD, relaxed with PBE, the PXRD pattern of ZnHgSeO was simulated for Cu Kα X-rays.
Kinematic intensities with the Lorentz-polarization factor, no thermal factor.

Crystal structure
Cell lengths 5.8621, 3.8652, 13.3645 Å; angles 90.00, 90.00, 90.00 degrees
Sites, in units of the cell vectors:
1 Zn 0.1578 0.2500 0.1867
2 Zn 0.3422 0.7500 0.6867
3 Zn 0.6578 0.2500 0.3133
4 Zn 0.8422 0.7500 0.8133
5 Hg 0.2089 0.7500 0.4021
6 Hg 0.2911 0.2500 0.9021
7 Hg 0.7089 0.7500 0.0979
8 Hg 0.7911 0.2500 0.5979
9 Se 0.2427 0.2500 0.5769
10 Se 0.2573 0.7500 0.0769
11 Se 0.7427 0.2500 0.9231
12 Se 0.7573 0.7500 0.4231
13 O 0.1789 0.7500 0.8130
14 O 0.3211 0.2500 0.3130
15 O 0.6789 0.7500 0.6870
16 O 0.8211 0.2500 0.1870

The 10 most intense peaks (15 to 90 degrees two-theta), most intense first:
two_theta  Rel. int.
30.62  100.0
43.76  55.3
30.50  46.7
28.45  28.0
26.68  26.1
47.02  25.0
30.78  24.1
57.10  20.7
20.15  20.2
53.53  18.0

---

No. 5
Starting from a crystal structure in OQMD, relaxed with PBE, the PXRD pattern of SnHgTeO was simulated for Cu Kα X-rays.
Kinematic intensities with the Lorentz-polarization factor, no thermal factor.

Crystal structure
Cell lengths 5.3963, 8.9870, 9.2742 Å; angles 90.00, 90.00, 90.00 degrees
Sites, in units of the cell vectors:
1 Sn 0.2326 0.1183 0.4622
2 Sn 0.2674 0.8817 0.9622
3 Sn 0.7326 0.3817 0.5378
4 Sn 0.7674 0.6183 0.0378
5 Hg 0.2041 0.6416 0.5822
6 Hg 0.2959 0.3584 0.0822
7 Hg 0.7041 0.8584 0.4178
8 Hg 0.7959 0.1416 0.9178
9 Te 0.0296 0.4262 0.8181
10 Te 0.4704 0.5738 0.3181
11 Te 0.5296 0.0738 0.1819
12 Te 0.9704 0.9262 0.6819
13 O 0.0536 0.7527 0.0907
14 O 0.4464 0.2473 0.5907
15 O 0.5536 0.7473 0.9093
16 O 0.9464 0.2527 0.4093

The 10 most intense peaks (15 to 90 degrees two-theta), most intense first:
two_theta  Rel. int.
27.57  100.0
40.16  36.4
34.91  30.0
19.03  22.1
39.94  19.1
21.49  18.1
38.61  15.8
19.15  15.7
35.67  14.3
27.23  12.3

---

No. 6
Starting from a crystal structure in OQMD, relaxed with PBE, the PXRD pattern of SrHgO3 was simulated for Cu Kα X-rays.
Kinematic intensities with the Lorentz-polarization factor, no thermal factor.

Crystal structure
Cell lengths 5.7749, 5.7749, 5.7749 Å; angles 62.89, 62.89, 62.89 degrees
Sites, in units of the cell vectors:
1 Sr 0.2500 0.2500 0.2500
2 Sr 0.7500 0.7500 0.7500
3 Hg 0.0000 0.0000 0.0000
4 Hg 0.5000 0.5000 0.5000
5 O 0.1627 0.7500 0.3373
6 O 0.2500 0.6627 0.8373
7 O 0.3373 0.1627 0.7500
8 O 0.6627 0.8373 0.2500
9 O 0.7500 0.3373 0.1627
10 O 0.8373 0.2500 0.6627

The 10 most intense peaks (15 to 90 degrees two-theta), most intense first:
two_theta  Rel. int.
29.65  100.0
31.03  95.6
43.45  50.8
21.33  47.1
53.49  44.2
52.62  26.7
56.05  18.5
72.75  18.0
70.54  18.0
85.91  16.0

---

No. 7
Starting from a crystal structure in OQMD, relaxed with PBE, the PXRD pattern of TaHgO3 was simulated for Cu Kα X-rays.
Kinematic intensities with the Lorentz-polarization factor, no thermal factor.

Crystal structure
Cell lengths 5.2970, 5.2970, 7.4979 Å; angles 90.00, 90.00, 120.00 degrees
Sites, in units of the cell vectors:
1 Ta 0.3333 0.6667 0.0000
2 Ta 0.6667 0.3333 0.0000
3 Hg 0.0000 0.0000 0.3285
4 Hg 0.0000 0.0000 0.6715
5 O 0.0000 0.3739 0.1459
6 O 0.0000 0.6261 0.8541
7 O 0.3739 0.0000 0.1459
8 O 0.3739 0.3739 0.8541
9 O 0.6261 0.0000 0.8541
10 O 0.6261 0.6261 0.1459

The 10 most intense peaks (15 to 90 degrees two-theta), most intense first:
two_theta  Rel. int.
22.72  100.0
33.85  65.5
50.19  54.9
30.80  52.1
41.15  27.1
54.30  21.4
35.94  21.4
19.35  21.3
60.55  19.5
46.41  18.1

---

No. 8
Starting from a crystal structure in OQMD, relaxed with PBE, the PXRD pattern of TbHgTeO was simulated for Cu Kα X-rays.
Kinematic intensities with the Lorentz-polarization factor, no thermal factor.

Crystal structure
Cell lengths 7.7269, 7.5757, 7.1862 Å; angles 90.00, 109.18, 90.00 degrees
Sites, in units of the cell vectors:
1 Tb 0.0021 0.1452 0.1797
2 Tb 0.0021 0.3548 0.6797
3 Tb 0.9979 0.6452 0.3203
4 Tb 0.9979 0.8548 0.8203
5 Hg 0.4333 0.7305 0.4871
6 Hg 0.4333 0.7695 0.9871
7 Hg 0.5667 0.2305 0.0129
8 Hg 0.5667 0.2695 0.5129
9 Te 0.2972 0.0594 0.6523
10 Te 0.2972 0.4406 0.1523
11 Te 0.7028 0.5594 0.8477
12 Te 0.7028 0.9406 0.3477
13 O 0.0507 0.6382 0.6353
14 O 0.0507 0.8618 0.1353
15 O 0.9493 0.1382 0.8647
16 O 0.9493 0.3618 0.3647

The 10 most intense peaks (15 to 90 degrees two-theta), most intense first:
two_theta  Rel. int.
27.75  100.0
39.63  89.9
34.60  84.6
32.55  74.2
26.39  58.8
34.12  56.7
37.73  50.9
24.39  44.4
43.61  44.1
23.74  41.9